# 1
Starting from a GGA-PBE-relaxed structure, the powder X-ray diffraction pattern of Dy2Fe4B4Pt was calculated for copper Kα.
Peak positions follow from Bragg's law for the DFT cell and can differ from measured ones.

Peak list (12 most intense, 2θ = 15–90°, low angle first)
| two_theta | I (rel.) |
| --- | --- |
| 18.75 | 23 |
| 31.37 | 100 |
| 37.75 | 12 |
| 38.04 | 35 |
| 39.93 | 61 |
| 41.61 | 56 |
| 53.46 | 9 |
| 57.64 | 18 |
| 60.42 | 16 |
| 65.46 | 10 |
| 67.21 | 13 |
| 70.00 | 13 |

Structure:
Cell lengths 7.2679, 6.0855, 5.3840 Å; angles 78.38, 55.10, 46.52 degrees
Element x y z (fractional)
Dy  0.1471  0.1471  0.8529
Dy  0.8529  0.8529  0.1471
Fe  0.0000  0.0000  0.5000
Fe  0.2500  0.2500  0.2500
Fe  0.5000  0.5000  0.0000
Fe  0.7500  0.7500  0.7500
B  0.1964  0.5336  0.4664
B  0.4664  0.8036  0.1964
B  0.5336  0.1964  0.8036
B  0.8036  0.4664  0.5336
Pt  0.5000  0.5000  0.5000

# 2
Starting from a GGA-PBE-relaxed structure, the powder X-ray diffraction pattern of ErCuB4 was calculated for copper Kα.
Peak positions follow from Bragg's law for the DFT cell and can differ from measured ones.

Peak list (12 most intense, 2θ = 15–90°, low angle first)
| two_theta | I (rel.) |
| --- | --- |
| 20.59 | 45 |
| 23.69 | 67 |
| 30.76 | 16 |
| 33.12 | 72 |
| 34.04 | 32 |
| 41.13 | 100 |
| 41.89 | 49 |
| 48.48 | 17 |
| 59.97 | 26 |
| 60.34 | 18 |
| 65.76 | 17 |
| 74.59 | 17 |

Structure:
Cell lengths 3.1519, 5.2677, 7.5113 Å; angles 90.00, 90.00, 90.00 degrees
Element x y z (fractional)
Er  0.0000  0.0000  0.0000
Er  0.5000  0.5000  0.5000
Cu  0.0000  0.0000  0.5000
Cu  0.5000  0.5000  0.0000
B  0.0000  0.3218  0.2608
B  0.0000  0.3218  0.7392
B  0.0000  0.6782  0.2608
B  0.0000  0.6782  0.7392
B  0.5000  0.1782  0.2392
B  0.5000  0.1782  0.7608
B  0.5000  0.8218  0.2392
B  0.5000  0.8218  0.7608